Starting from a crystal structure in Alexandria, relaxed with GGA-PBE, the powder diffractogram of Rb10HgAu4 was simulated for Cu Ka.
Peak positions follow from Bragg's law for the DFT cell and can differ from measured ones.

Atomic structure:
```
Rb10HgAu4
1.0
5.184 -2.996 0.000
5.184 2.996 0.000
-3.421 0.000 24.710
Rb Hg Au
10 1 4
Direct
0.048 0.048 0.146
0.147 0.147 0.441
0.251 0.251 0.755
0.350 0.350 0.049
0.447 0.447 0.341
0.553 0.553 0.659
0.650 0.650 0.951
0.749 0.749 0.245
0.853 0.853 0.559
0.952 0.952 0.854
0.500 0.500 0.500
0.097 0.097 0.290
0.301 0.301 0.902
0.699 0.699 0.098
0.903 0.903 0.710
```

Peak list (10 most intense, 2θ from 15° to 90°, by angle)
- 17.95 deg, I = 30
- 18.12 deg, I = 92
- 29.62 deg, I = 95
- 29.84 deg, I = 100
- 34.85 deg, I = 17
- 35.06 deg, I = 48
- 42.54 deg, I = 35
- 46.74 deg, I = 17
- 52.83 deg, I = 38
- 52.96 deg, I = 20



Starting from a crystal structure in Alexandria, relaxed with GGA-PBE, the powder diffractogram of Rb7Hg2Au was simulated for Cu Ka.
Peak positions follow from Bragg's law for the DFT cell and can differ from measured ones.

Atomic structure:
```
Rb7Hg2Au
1.0
10.254 -4.958 0.000
10.254 4.958 0.000
-6.794 0.000 10.597
Rb Hg Au
14 4 2
Direct
0.101 0.625 0.015
0.109 0.891 0.750
0.192 0.418 0.642
0.239 0.587 0.412
0.375 0.899 0.485
0.413 0.761 0.088
0.418 0.192 0.142
0.582 0.808 0.858
0.587 0.239 0.912
0.625 0.101 0.515
0.761 0.413 0.588
0.808 0.582 0.358
0.891 0.109 0.250
0.899 0.375 0.985
0.189 0.197 0.288
0.197 0.189 0.788
0.803 0.811 0.212
0.811 0.803 0.712
0.493 0.507 0.750
0.507 0.493 0.250
```

Peak list (10 most intense, 2θ from 15° to 90°, by angle)
- 16.73 deg, I = 25
- 17.85 deg, I = 78
- 24.58 deg, I = 95
- 26.07 deg, I = 41
- 27.39 deg, I = 25
- 29.88 deg, I = 44
- 31.22 deg, I = 100
- 31.80 deg, I = 24
- 33.10 deg, I = 29
- 48.54 deg, I = 35



Starting from a crystal structure in Alexandria, relaxed with GGA-PBE, the powder diffractogram of Rb7Hg3Au was simulated for Cu Ka.
Peak positions follow from Bragg's law for the DFT cell and can differ from measured ones.

Atomic structure:
```
Rb7Hg3Au
1.0
6.298 -5.973 0.000
6.298 5.973 0.000
-2.646 0.000 7.917
Rb Hg Au
7 3 1
Direct
0.000 0.000 0.000
0.133 0.133 0.558
0.345 0.681 0.554
0.416 0.416 0.993
0.525 0.942 0.172
0.681 0.345 0.554
0.942 0.525 0.172
0.034 0.583 0.748
0.583 0.034 0.748
0.807 0.807 0.561
0.288 0.288 0.290
```

Peak list (10 most intense, 2θ from 15° to 90°, by angle)
- 18.61 deg, I = 42
- 22.68 deg, I = 64
- 23.55 deg, I = 46
- 26.04 deg, I = 100
- 27.01 deg, I = 58
- 27.18 deg, I = 45
- 29.09 deg, I = 44
- 29.92 deg, I = 78
- 31.04 deg, I = 46
- 34.74 deg, I = 45



Starting from a crystal structure in Alexandria, relaxed with GGA-PBE, the powder diffractogram of Rb3Hg2Au2 was simulated for Cu Ka.
Peak positions follow from Bragg's law for the DFT cell and can differ from measured ones.

Atomic structure:
```
Rb3Hg2Au2
1.0
-2.460 2.500 10.959
2.460 -2.500 10.959
2.460 2.500 -10.959
Rb Hg Au
3 2 2
Direct
0.000 0.000 0.000
0.181 0.681 0.500
0.819 0.319 0.500
0.360 0.860 0.500
0.640 0.140 0.500
0.436 0.436 0.000
0.564 0.564 0.000
```

Peak list (10 most intense, 2θ from 15° to 90°, by angle)
- 18.20 deg, I = 85
- 26.69 deg, I = 100
- 27.05 deg, I = 46
- 30.26 deg, I = 54
- 33.93 deg, I = 70
- 35.48 deg, I = 53
- 35.92 deg, I = 44
- 36.52 deg, I = 42
- 50.25 deg, I = 47
- 52.16 deg, I = 30



Starting from a crystal structure in Alexandria, relaxed with GGA-PBE, the powder diffractogram of RbHg11Au5 was simulated for Cu Ka.
Peak positions follow from Bragg's law for the DFT cell and can differ from measured ones.

Atomic structure:
```
RbHg11Au5
1.0
4.867 -6.393 0.000
4.867 6.393 0.000
-1.034 0.000 7.616
Rb Hg Au
1 11 5
Direct
0.000 0.000 0.000
0.000 0.000 0.500
0.125 0.680 0.671
0.175 0.501 0.092
0.320 0.875 0.329
0.396 0.396 0.614
0.499 0.825 0.908
0.501 0.175 0.092
0.604 0.604 0.386
0.680 0.125 0.671
0.825 0.499 0.908
0.875 0.320 0.329
0.036 0.324 0.698
0.324 0.036 0.698
0.500 0.500 0.000
0.676 0.964 0.302
0.964 0.676 0.302
```

Peak list (10 most intense, 2θ from 15° to 90°, by angle)
- 15.46 deg, I = 75
- 27.24 deg, I = 85
- 31.84 deg, I = 53
- 33.64 deg, I = 53
- 33.79 deg, I = 37
- 34.84 deg, I = 48
- 35.69 deg, I = 100
- 36.55 deg, I = 49
- 37.58 deg, I = 36
- 41.37 deg, I = 81



Starting from a crystal structure in Alexandria, relaxed with GGA-PBE, the powder diffractogram of Rb3Hg7Au2 was simulated for Cu Ka.
Peak positions follow from Bragg's law for the DFT cell and can differ from measured ones.

Atomic structure:
```
Rb3Hg7Au2
1.0
3.282 1.895 10.069
-3.282 1.895 10.069
0.000 -3.790 10.069
Rb Hg Au
3 7 2
Direct
0.000 0.000 0.000
0.145 0.145 0.145
0.855 0.855 0.855
0.071 0.580 0.580
0.420 0.420 0.929
0.420 0.929 0.420
0.500 0.500 0.500
0.580 0.071 0.580
0.580 0.580 0.071
0.929 0.420 0.420
0.334 0.334 0.334
0.666 0.666 0.666
```

Peak list (10 most intense, 2θ from 15° to 90°, by angle)
- 15.86 deg, I = 57
- 31.61 deg, I = 28
- 32.04 deg, I = 20
- 32.56 deg, I = 100
- 34.88 deg, I = 44
- 35.67 deg, I = 28
- 37.90 deg, I = 41
- 51.53 deg, I = 28
- 56.03 deg, I = 32
- 68.21 deg, I = 26



Starting from a crystal structure in Alexandria, relaxed with GGA-PBE, the powder diffractogram of Rb3Hg8Au was simulated for Cu Ka.
Peak positions follow from Bragg's law for the DFT cell and can differ from measured ones.

Atomic structure:
```
Rb3Hg8Au
1.0
3.258 1.881 10.912
-3.258 1.881 10.912
0.000 -3.762 10.912
Rb Hg Au
3 8 1
Direct
0.000 0.000 0.000
0.129 0.129 0.129
0.616 0.616 0.616
0.054 0.564 0.564
0.060 0.060 0.565
0.060 0.565 0.060
0.311 0.311 0.311
0.564 0.054 0.564
0.564 0.564 0.055
0.565 0.060 0.060
0.813 0.813 0.813
0.465 0.465 0.465
```

Peak list (10 most intense, 2θ from 15° to 90°, by angle)
- 16.62 deg, I = 54
- 31.59 deg, I = 24
- 31.99 deg, I = 100
- 32.19 deg, I = 42
- 32.83 deg, I = 34
- 33.59 deg, I = 70
- 38.76 deg, I = 43
- 51.38 deg, I = 27
- 56.49 deg, I = 34
- 66.89 deg, I = 27